The following is a theoretical XRD peak list of TiV2Re3. It was derived from the PBE geometry in Alexandria, using copper Kα.
Peak positions follow from Bragg's law for the DFT cell and can differ from measured ones.

Structure:
Cell: 3.061 3.061 9.225 Å, 90.00 90.00 90.00°
Space group P4/mmm (No. 123)
Unique sites:
Ti1 0.000 0.000 0.000 x1
V1 0.000 0.000 0.335 x2
Re1 0.500 0.500 0.174 x2
Re2 0.500 0.500 0.500 x1

Most intense lines, 2θ from 10° to 90°, by angle:
Position (°2θ)	d/Å	I/Imax	h k l
29.04	3.075	214	0 0 3
29.18	3.061	430	1 0 0
41.64	2.169	1000	1 0 3
41.74	2.164	501	1 1 0
51.65	1.770	188	1 1 3
60.50	1.530	165	2 0 0
68.52	1.369	168	2 1 0
76.13	1.250	333	2 1 3